For La2SnS3O2, a structure optimized by DFT (GGA-PBE) gives the computed X-ray diffraction stick pattern in this record (Cu Kα (weighted mean of Kα1 and Kα2)).
Neutral-atom scattering factors, no anomalous dispersion.

Main lines, in order of falling intensity (5 to 70 degrees two-theta):
Position (°2θ)  d/Å  I_rel
25.5  3.498  100
30.3  2.949  71
31.6  2.830  54
54.7  1.679  38
43.4  2.085  31
57.1  1.614  25

```
data_La2SnS3O2
_chemical_formula_sum 'La8 Sn4 S12 O8'
_cell_length_a 5.9044
_cell_length_b 19.2726
_cell_length_c 5.8910
_cell_angle_alpha 90.00
_cell_angle_beta 90.00
_cell_angle_gamma 90.00
_symmetry_space_group_name_H-M 'P 1'
_symmetry_Int_Tables_number 1
loop_
_symmetry_equiv_pos_as_xyz
'x,y,z'
loop_
_atom_site_label
_atom_site_type_symbol
_atom_site_fract_x
_atom_site_fract_y
_atom_site_fract_z
_atom_site_occupancy
La1 La 0.2478 0.0629 0.0020 1
La2 La 0.2478 0.4371 0.0020 1
La3 La 0.2522 0.5629 0.5020 1
La4 La 0.2522 0.9371 0.5020 1
La5 La 0.7478 0.0629 0.4980 1
La6 La 0.7478 0.4371 0.4980 1
La7 La 0.7522 0.5629 0.9980 1
La8 La 0.7522 0.9371 0.9980 1
Sn1 Sn 0.1524 0.7500 0.9303 1
Sn2 Sn 0.3476 0.2500 0.4303 1
Sn3 Sn 0.6524 0.7500 0.5697 1
Sn4 Sn 0.8476 0.2500 0.0697 1
S1 S 0.2392 0.7500 0.5166 1
S2 S 0.2437 0.1335 0.5132 1
S3 S 0.2437 0.3665 0.5132 1
S4 S 0.2563 0.6335 0.0132 1
S5 S 0.2563 0.8665 0.0132 1
S6 S 0.2608 0.2500 0.0166 1
S7 S 0.7392 0.7500 0.9834 1
S8 S 0.7437 0.1335 0.9868 1
S9 S 0.7437 0.3665 0.9868 1
S10 S 0.7563 0.6335 0.4868 1
S11 S 0.7563 0.8665 0.4868 1
S12 S 0.7608 0.2500 0.4834 1
O1 O 0.0006 0.0004 0.7488 1
O2 O 0.0006 0.4996 0.7488 1
O3 O 0.4994 0.9996 0.2488 1
O4 O 0.4994 0.5004 0.2488 1
O5 O 0.5006 0.0004 0.7512 1
O6 O 0.5006 0.4996 0.7512 1
O7 O 0.9994 0.9996 0.2512 1
O8 O 0.9994 0.5004 0.2512 1
```